[1]
Theoretical X-ray powder pattern of PrBiSO2 for Cu Kα, 1.54184 Å, from a GGA-PBE-relaxed structure.
Peak positions follow from Bragg's law for the DFT cell and can differ from measured ones.

Principal peaks in the range 2θ from 15° to 90°, in order of rising 2θ:
- 25.86°, I = 22.3
- 26.09°, I = 22.8
- 29.03°, I = 100.0
- 37.07°, I = 30.1
- 45.61°, I = 30.1
- 47.89°, I = 26.1
- 53.30°, I = 20.4
- 54.98°, I = 17.6
- 61.95°, I = 7.7
- 68.28°, I = 9.0
- 74.13°, I = 15.0
- 86.01°, I = 10.0

Crystal structure
```
PrBiSO2
1.0
3.978 0.000 0.000
-1.989 3.445 0.000
0.000 0.000 6.831
Pr Bi S O
1 1 1 2
Cartesian
0.000 0.000 0.000
1.989 1.148 3.037
0.000 2.297 4.934
0.000 0.000 2.395
1.989 1.148 0.651
```

***

[2]
Theoretical X-ray powder pattern of KHoGeS3 for Cu Kα, 1.54184 Å, from a GGA-PBE-relaxed structure.
Peak positions follow from Bragg's law for the DFT cell and can differ from measured ones.

Principal peaks in the range 2θ from 15° to 90°, in order of rising 2θ:
- 24.05°, I = 23.4
- 24.50°, I = 20.8
- 26.32°, I = 30.4
- 28.25°, I = 67.9
- 28.92°, I = 18.8
- 32.54°, I = 100.0
- 33.51°, I = 48.1
- 37.26°, I = 31.6
- 40.38°, I = 28.9
- 46.68°, I = 32.8
- 47.17°, I = 34.3
- 47.64°, I = 24.3

Crystal structure
```
KHoGeS3
1.0
8.199 0.000 0.000
0.000 3.891 0.000
-3.354 0.000 10.157
K Ho Ge S
2 2 2 6
Cartesian
0.968 0.973 2.738
3.877 2.918 7.419
0.128 2.918 8.594
4.717 0.973 1.563
-0.768 0.973 5.702
5.613 2.918 4.455
-1.696 0.973 7.858
0.806 2.918 5.922
2.902 2.918 1.073
1.944 0.973 9.084
4.039 0.973 4.235
6.541 2.918 2.300
```